Starting from a crystal structure in Alexandria, relaxed with GGA+U, the PXRD pattern of Ba2NaCo2O6 was calculated for Cu Kα.

Top 10 peaks for 2θ = 15–90°, in order of rising 2θ:
19.79°, intensity 12; 30.03°, intensity 100; 33.53°, intensity 12; 36.22°, intensity 13; 42.99°, intensity 21; 53.32°, intensity 34; 54.86°, intensity 9; 62.40°, intensity 12; 70.80°, intensity 12; 86.53°, intensity 12

Atomic structure:
```
data_Ba2NaCo2O6
_cell_length_a 5.9528
_cell_length_b 5.9528
_cell_length_c 18.2127
_cell_angle_alpha 90.00
_cell_angle_beta 90.00
_cell_angle_gamma 120.00
_symmetry_space_group_name_H-M 'R -3 m'
_symmetry_Int_Tables_number 166
_symmetry_space_group_name_Hall '-R 3 2"'
loop_
_atom_site_label
_atom_site_type_symbol
_atom_site_fract_x
_atom_site_fract_y
_atom_site_fract_z
Ba1 Ba 0.0000 0.0000 0.2132
Na1 Na 0.0000 0.0000 0.0000
Co1 Co 0.0000 0.0000 0.4199
O1 O 0.0019 0.5010 0.7580
```